[1]
Structure and computed X-ray diffraction stick pattern of P2Se (the GGA-PBE geometry in the Materials Project; CuKα).

```
P2Se
1.0
-3.252 3.252 2.561
3.252 -3.252 2.561
3.252 3.252 -2.561
P Se
4 2
Cartesian
0.000 0.000 0.000
1.626 1.626 -1.281
1.626 -1.626 1.281
0.000 3.252 0.000
3.252 1.626 0.640
0.000 1.626 1.921
```

Main lines, in order of rising 2θ (2θ = 10–80°):
27.42 deg, intensity 42.0
35.49 deg, intensity 100.0
40.31 deg, intensity 29.3
53.88 deg, intensity 28.7
56.60 deg, intensity 16.1
57.47 deg, intensity 20.3

***

[2]
Structure and computed X-ray diffraction stick pattern of U2Re2C3 (the GGA-PBE geometry in the Materials Project; CuKα).

```
U2Re2C3
1.0
5.969 -1.557 0.000
5.969 1.557 0.000
-2.169 0.000 5.153
U Re C
2 2 3
Cartesian
0.553 0.000 1.581
9.216 0.000 3.572
3.768 0.000 0.848
6.001 0.000 4.305
1.378 0.000 3.849
4.884 0.000 2.576
8.390 0.000 1.304
```

Main lines, in order of rising 2θ (2θ = 10–80°):
32.14 deg, intensity 39.6
32.55 deg, intensity 42.6
34.82 deg, intensity 26.1
36.23 deg, intensity 86.2
37.51 deg, intensity 100.0
57.81 deg, intensity 25.0